[1]
For Ta4Co2GeSe12, a structure optimized by DFT (PBE) gives the simulated powder XRD pattern in this record (Cu Kα (λ = 1.5418 Å)).
Intensities are scaled so that the largest is 100.

The 10 most intense peaks (10° ≤ 2θ ≤ 90°), by angle:
2theta  I (rel.)
12.72  100.0
13.33  40.3
13.80  20.5
27.73  14.6
31.89  27.9
32.72  23.2
35.11  54.0
39.78  26.0
43.13  15.3
53.65  20.9

Cell and atoms:
```
19
Lattice="6.9705 -1.7080 0.0000 6.9705 1.7080 0.0000 -5.9750 0.0000 18.8103" Properties=species:S:1:pos:R:3 pbc="T T T"
Ta 0.8638 0.0000 3.0075
Ta 0.9823 0.0000 7.6755
Ta 6.9838 0.0000 11.1348
Ta 7.1024 0.0000 15.8029
Co -0.5011 0.0000 13.3861
Co 8.4672 0.0000 5.4242
Ge 6.9705 0.0000 0.0000
Se -0.2232 0.0000 5.4353
Se -1.8694 0.0000 11.4364
Se -1.2064 0.0000 17.2641
Se 2.8885 0.0000 4.5161
Se 1.8071 0.0000 10.2635
Se 5.9359 0.0000 2.4600
Se 2.0302 0.0000 16.3503
Se 6.1590 0.0000 8.5468
Se 5.0776 0.0000 14.2942
Se 9.1725 0.0000 1.5462
Se 9.8355 0.0000 7.3740
Se 8.1893 0.0000 13.3751
```

***

[2]
For Ta, a structure optimized by DFT (PBE) gives the simulated powder XRD pattern in this record (Cu Kα (λ = 1.5418 Å)).
Intensities are scaled so that the largest is 100.

The 10 most intense peaks (10° ≤ 2θ ≤ 90°), by angle:
2theta  I (rel.)
37.15  100.0
41.24  28.3
43.16  10.1
45.02  13.3
62.69  6.2
64.13  9.6
66.97  28.3
68.37  4.5
72.48  5.1
79.15  9.7

Cell and atoms:
```
29
Lattice="-5.1338 5.1338 5.1338 5.1338 -5.1338 5.1338 5.1338 5.1338 -5.1338" Properties=species:S:1:pos:R:3 pbc="T T T"
Ta 0.0000 0.0000 0.0000
Ta 1.9290 1.9290 -1.9290
Ta 4.7541 1.4462 -1.4462
Ta 1.9290 -1.9290 1.9290
Ta 4.7541 -1.4462 1.4462
Ta 7.4061 0.9400 -0.9400
Ta 7.4061 -0.9400 0.9400
Ta 2.8615 0.9400 0.9400
Ta 4.1938 4.1938 -2.2723
Ta 4.1938 -2.2723 4.1938
Ta 5.5136 1.4462 1.4462
Ta 1.4462 4.7541 -1.4462
Ta 1.4462 -1.4462 4.7541
Ta 0.9400 2.8615 0.9400
Ta 0.9400 0.9400 2.8615
Ta -1.9290 1.9290 1.9290
Ta 3.6876 3.6876 0.3797
Ta 3.6876 0.3797 3.6876
Ta -1.4462 4.7541 1.4462
Ta -1.4462 1.4462 4.7541
Ta 3.2048 3.2048 3.2048
Ta 0.9400 7.4061 -0.9400
Ta 0.9400 -0.9400 7.4061
Ta 1.4462 5.5136 1.4462
Ta 1.4462 1.4462 5.5136
Ta 0.3797 3.6876 3.6876
Ta -0.9400 7.4061 0.9400
Ta -0.9400 0.9400 7.4061
Ta -2.2723 4.1938 4.1938
```